(1)
Structure and computed powder diffraction line list of Ti6Ge2P (a cell relaxed with GGA-PBE; Cu Kα (λ = 1.5418 Å)).

Cell and atoms:
```
9
Lattice="6.840 0.000 0.000 -3.420 5.923 0.000 0.000 0.000 3.514" Properties=species:S:1:pos:R:3 pbc="T T T"
Ti -1.353 2.343 0.000
Ti -2.567 4.446 1.757
Ti 0.853 1.477 1.757
Ti 2.706 0.000 0.000
Ti 2.067 3.580 0.000
Ti 5.134 0.000 1.757
Ge 0.000 3.949 1.757
Ge 3.420 1.974 1.757
P 0.000 0.000 0.000
```

Peak list (12 most intense, 2θ from 10° to 90°, by intensity)
two_theta, I/Imax
36.67, 100
39.81, 69
40.28, 45
45.97, 43
48.20, 35
74.93, 23
52.05, 21
71.94, 21
67.80, 17
78.91, 14
25.35, 11
26.06, 11

=====

(2)
Structure and computed powder diffraction line list of Hg2TeO5 (a cell relaxed with GGA-PBE; Cu Kα (λ = 1.5418 Å)).

Cell and atoms:
```
32
Lattice="7.514 0.000 0.000 0.000 6.060 0.000 0.000 0.000 10.127" Properties=species:S:1:pos:R:3 pbc="T T T"
Hg 0.170 1.356 0.000
Hg 1.729 1.385 3.403
Hg 2.028 4.415 8.466
Hg 3.587 4.386 5.063
Hg 3.927 1.674 0.000
Hg 5.486 1.645 3.403
Hg 5.785 4.675 8.466
Hg 7.344 4.703 5.063
Te 1.002 4.488 1.683
Te 2.755 1.458 6.746
Te 4.759 4.601 1.683
Te 6.512 1.571 6.746
O 0.430 0.255 2.177
O 0.683 5.083 9.940
O 0.895 2.230 6.743
O 1.213 3.959 3.542
O 1.581 2.757 1.085
O 2.176 5.786 6.148
O 2.544 0.929 8.605
O 2.862 5.259 1.680
O 3.074 2.054 4.876
O 3.327 3.284 7.241
O 4.187 2.775 2.177
O 4.440 4.006 9.940
O 4.652 0.800 6.743
O 4.970 5.131 3.542
O 5.338 0.273 1.085
O 5.933 3.303 6.148
O 6.301 2.101 8.605
O 6.619 3.830 1.680
O 6.831 0.976 4.876
O 7.084 5.805 7.241
```

Peak list (12 most intense, 2θ from 10° to 90°, by intensity)
two_theta, I/Imax
30.31, 100
29.33, 88
29.48, 52
29.61, 45
42.27, 37
25.28, 23
43.08, 22
52.82, 21
53.58, 17
52.20, 17
51.74, 17
53.07, 17

=====

(3)
Structure and computed powder diffraction line list of Y6RuRh3 (a cell relaxed with GGA-PBE; Cu Kα (λ = 1.5418 Å)).

Cell and atoms:
```
20
Lattice="8.155 0.000 0.000 0.000 12.134 0.000 0.000 0.000 4.778" Properties=species:S:1:pos:R:3 pbc="T T T"
Y 0.036 2.972 0.000
Y 1.289 4.987 2.389
Y 1.426 0.954 2.389
Y 2.651 7.021 0.000
Y 2.789 11.054 0.000
Y 4.042 9.039 2.389
Y 4.113 3.096 2.389
Y 5.366 1.080 0.000
Y 5.503 5.113 0.000
Y 6.729 11.180 2.389
Y 6.866 7.148 2.389
Y 8.119 9.163 0.000
Ru 0.000 6.067 0.000
Ru 4.077 0.000 2.389
Rh 0.000 0.000 0.000
Rh 1.336 10.146 2.389
Rh 2.742 4.079 0.000
Rh 4.077 6.067 2.389
Rh 5.413 8.056 0.000
Rh 6.819 1.988 2.389
```

Peak list (12 most intense, 2θ from 10° to 90°, by intensity)
two_theta, I/Imax
38.09, 100
36.78, 71
37.65, 52
30.97, 36
36.93, 33
68.22, 27
53.76, 22
18.23, 19
65.61, 16
31.15, 16
43.26, 15
32.42, 13

=====

(4)
Structure and computed powder diffraction line list of Bi3Pb8 (a cell relaxed with GGA-PBE; Cu Kα (λ = 1.5418 Å)).

Cell and atoms:
```
11
Lattice="4.364 0.000 0.000 -2.155 5.721 0.000 -0.004 -2.444 14.094" Properties=species:S:1:pos:R:3 pbc="T T T"
Bi 0.000 0.000 0.000
Bi -0.002 -0.545 9.078
Bi 2.206 3.822 5.016
Pb 0.009 1.472 3.936
Pb 0.015 0.974 12.818
Pb 0.022 2.892 7.583
Pb 0.026 4.755 2.522
Pb 2.179 -1.478 11.572
Pb 2.182 0.386 6.510
Pb 2.189 2.303 1.276
Pb 2.196 1.805 10.158
```

Peak list (12 most intense, 2θ from 10° to 90°, by intensity)
two_theta, I/Imax
29.92, 100
32.28, 41
32.42, 41
33.01, 38
33.47, 37
41.38, 22
53.93, 20
55.55, 17
44.24, 17
51.03, 11
54.11, 10
54.37, 10

=====

(5)
Structure and computed powder diffraction line list of Tb2DyY7 (a cell relaxed with GGA-PBE; Cu Kα (λ = 1.5418 Å)).

Cell and atoms:
```
10
Lattice="3.095 -14.855 0.000 3.095 14.855 0.000 -0.028 0.000 3.506" Properties=species:S:1:pos:R:3 pbc="T T T"
Tb 3.095 9.161 0.000
Tb 3.095 -9.161 0.000
Dy -0.014 0.000 1.753
Y 1.555 2.972 2.569
Y 3.081 6.149 1.753
Y 1.555 -2.972 2.569
Y 3.095 0.000 0.000
Y 4.607 2.972 0.937
Y 3.081 -6.149 1.753
Y 4.607 -2.972 0.937
```

Peak list (12 most intense, 2θ from 10° to 90°, by intensity)
two_theta, I/Imax
30.76, 100
30.08, 96
31.31, 72
34.16, 67
36.34, 64
30.57, 50
32.91, 48
29.33, 27
36.18, 25
49.92, 23
52.07, 22
29.50, 19

=====

(6)
Structure and computed powder diffraction line list of Tm2Hg6Pb (a cell relaxed with GGA-PBE; Cu Kα (λ = 1.5418 Å)).

Cell and atoms:
```
9
Lattice="7.553 -4.364 0.000 7.553 4.364 0.000 -0.005 0.000 3.380" Properties=species:S:1:pos:R:3 pbc="T T T"
Tm 2.515 0.000 3.379
Tm 12.587 0.000 0.000
Hg 5.014 1.466 1.695
Hg 7.551 2.932 1.690
Hg 5.014 -1.466 1.695
Hg 10.088 1.466 1.685
Hg 7.551 -2.932 1.690
Hg 10.088 -1.466 1.685
Pb 7.553 0.000 0.000
```

Peak list (12 most intense, 2θ from 10° to 90°, by intensity)
two_theta, I/Imax
33.54, 100
35.65, 99
62.70, 34
49.75, 34
66.65, 33
64.03, 19
44.88, 15
85.17, 13
75.49, 12
88.73, 11
26.37, 10
54.29, 10